1.
The following is a simulated X-ray powder pattern of NdEr2Tm2. It was derived from a GGA-PBE-relaxed structure, using CuKα.

Most intense lines, 2θ from 15° to 90°, in order of rising 2θ:
2θ (°)  I/Imax  (hkl)
27.85  37  1 0 2
31.59  47  0 2 0
31.73  78  0 1 5
34.45  100  1 1 3
62.21  26  1 2 8
62.64  36  2 2 0

Structural model:
Unit cell a=3.485 b=5.664 c=16.260 alpha=90.00 beta=90.00 gamma=90.00
Space group Amm2 (No. 38)
Symmetry-distinct sites (fractional):
1 Nd 0.000 0.000 0.000 x2
2 Er 0.000 0.000 0.381 x2
3 Er 0.500 0.000 0.574 x2
4 Tm 0.000 0.000 0.762 x2
5 Tm 0.500 0.000 0.193 x2

---

2.
The following is a simulated X-ray powder pattern of Mg2B. It was derived from a GGA-PBE-relaxed structure, using CuKα.

Most intense lines, 2θ from 15° to 90°, in order of rising 2θ:
2θ (°)  I/Imax  (hkl)
31.92  31  0 0 4
33.93  70  0 1 1
36.74  56  0 1 2
41.06  100  1 0 3
58.84  35  1 1 0
68.52  20  1 1 4

Structural model:
Unit cell a=3.1388 b=3.1388 c=11.2134 alpha=90.00 beta=90.00 gamma=120.00
Space group P-3m1 (No. 164)
Symmetry-distinct sites (fractional):
1 Mg 0.0000 0.0000 0.1491 x2
2 Mg 0.3333 0.6667 0.3826 x2
3 B 0.3333 0.6667 0.0010 x2

---

3.
The following is a simulated X-ray powder pattern of Pa2Zn2Cu3. It was derived from a GGA-PBE-relaxed structure, using CuKα.

Most intense lines, 2θ from 15° to 90°, in order of rising 2θ:
2θ (°)  I/Imax  (hkl)
26.07  18  0 0 2
33.00  31  0 6 1
34.47  78  1 1 2
35.89  100  1 5 1
43.96  28  2 0 0
44.70  27  0 4 3

Structural model:
Unit cell a=4.119 b=17.749 c=6.837 alpha=90.00 beta=90.00 gamma=90.00
Space group Cmcm (No. 63)
Symmetry-distinct sites (fractional):
1 Pa 0.000 0.054 0.250 x4
2 Pa 0.000 0.149 0.750 x4
3 Zn 0.000 0.309 0.561 x8
4 Cu 0.000 0.226 0.250 x4
5 Cu 0.000 0.440 0.070 x8